Entry 1:
# HCl
Computed powder XRD pattern, Cu Kα, 1.54184 Å. Input: a GGA-PBE-relaxed structure.
Kinematic intensities with the Lorentz-polarization factor, no thermal factor.

Top 10 peaks for 10° ≤ 2θ ≤ 90°, most intense first:
two_theta	intensity
26.8	100.0
25.5	32.2
45.8	18.7
33.4	12.6
42.5	12.3
33.7	10.6
42.8	10.0
55.8	9.4
55.3	9.1
48.2	7.3

Atomic structure:
Unit cell a=4.384 b=4.384 c=5.368 alpha=90.00 beta=90.00 gamma=74.62
Fractional coordinates of all 4 atoms:
1 H 0.066 0.934 0.500
2 H 0.934 0.066 0.000
3 Cl 0.221 0.779 0.312
4 Cl 0.779 0.221 0.812



Entry 2:
# NaTi3F7
Computed powder XRD pattern, Cu Kα, 1.54184 Å. Input: a GGA-PBE-relaxed structure.
Kinematic intensities with the Lorentz-polarization factor, no thermal factor.

Top 10 peaks for 10° ≤ 2θ ≤ 90°, most intense first:
two_theta	intensity
30.3	100.0
29.4	72.6
49.7	60.3
50.3	39.5
29.0	38.5
47.3	30.7
50.1	27.5
59.2	24.7
56.9	24.6
33.9	23.3

Atomic structure:
Unit cell a=7.273 b=7.273 c=7.688 alpha=121.21 beta=121.21 gamma=60.09
Fractional coordinates of all 22 atoms:
1 Na 0.000 0.000 0.000
2 Na 0.000 0.000 0.500
3 Ti 0.000 0.500 0.000
4 Ti 0.000 0.500 0.500
5 Ti 0.500 0.000 0.000
6 Ti 0.500 0.000 0.500
7 Ti 0.500 0.500 0.000
8 Ti 0.500 0.500 0.500
9 F 0.127 0.543 0.829
10 F 0.143 0.161 0.425
11 F 0.161 0.143 0.925
12 F 0.189 0.645 0.321
13 F 0.355 0.811 0.179
14 F 0.363 0.637 0.750
15 F 0.457 0.873 0.671
16 F 0.543 0.127 0.329
17 F 0.637 0.363 0.250
18 F 0.645 0.189 0.821
19 F 0.811 0.355 0.679
20 F 0.839 0.857 0.075
21 F 0.857 0.839 0.575
22 F 0.873 0.457 0.171



Entry 3:
# UAs
Computed powder XRD pattern, Cu Kα, 1.54184 Å. Input: a GGA-PBE-relaxed structure.
Kinematic intensities with the Lorentz-polarization factor, no thermal factor.

Top 10 peaks for 10° ≤ 2θ ≤ 90°, most intense first:
two_theta	intensity
30.9	100.0
44.2	75.7
26.7	45.4
73.1	35.8
81.4	27.4
54.9	27.0
52.4	23.3
64.4	12.7
71.0	10.2
87.6	8.6

Atomic structure:
Unit cell a=4.094 b=4.094 c=4.094 alpha=60.00 beta=60.00 gamma=60.00
Fractional coordinates of all 2 atoms:
1 U 0.000 0.000 0.000
2 As 0.500 0.500 0.500



Entry 4:
# UNbN2
Computed powder XRD pattern, Cu Kα, 1.54184 Å. Input: a GGA-PBE-relaxed structure.
Kinematic intensities with the Lorentz-polarization factor, no thermal factor.

Top 10 peaks for 10° ≤ 2θ ≤ 90°, most intense first:
two_theta	intensity
35.8	100.0
32.6	27.7
28.9	27.6
32.4	27.2
57.0	17.8
40.3	14.7
49.9	14.3
67.1	14.2
62.2	14.1
60.0	13.5

Atomic structure:
Unit cell a=5.672 b=3.241 c=11.062 alpha=90.00 beta=90.00 gamma=90.00
Fractional coordinates of all 16 atoms:
1 U 0.077 0.250 0.144
2 U 0.423 0.750 0.644
3 U 0.577 0.250 0.356
4 U 0.923 0.750 0.856
5 Nb 0.076 0.750 0.400
6 Nb 0.424 0.250 0.900
7 Nb 0.576 0.750 0.100
8 Nb 0.924 0.250 0.600
9 N 0.161 0.250 0.756
10 N 0.232 0.750 0.997
11 N 0.268 0.250 0.497
12 N 0.339 0.750 0.256
13 N 0.661 0.250 0.744
14 N 0.732 0.750 0.503
15 N 0.768 0.250 0.003
16 N 0.839 0.750 0.244



Entry 5:
# LuPO4
Computed powder XRD pattern, Cu Kα, 1.54184 Å. Input: a GGA-PBE-relaxed structure.
Kinematic intensities with the Lorentz-polarization factor, no thermal factor.

Top 10 peaks for 10° ≤ 2θ ≤ 90°, most intense first:
two_theta	intensity
26.1	100.0
35.4	67.9
19.8	67.7
52.3	54.8
32.9	29.8
37.2	22.0
42.5	21.9
50.5	21.7
65.9	15.8
53.7	14.3

Atomic structure:
Unit cell a=5.677 b=5.677 c=5.677 alpha=106.01 beta=106.01 gamma=116.65
Fractional coordinates of all 12 atoms:
1 Lu 0.375 0.625 0.750
2 Lu 0.625 0.375 0.250
3 P 0.125 0.875 0.250
4 P 0.875 0.125 0.750
5 O 0.138 0.711 0.427
6 O 0.216 0.289 0.927
7 O 0.289 0.216 0.427
8 O 0.289 0.862 0.073
9 O 0.711 0.138 0.927
10 O 0.711 0.784 0.573
11 O 0.784 0.711 0.073
12 O 0.862 0.289 0.573



Entry 6:
# AlV3
Computed powder XRD pattern, Cu Kα, 1.54184 Å. Input: a GGA-PBE-relaxed structure.
Kinematic intensities with the Lorentz-polarization factor, no thermal factor.

Top 10 peaks for 10° ≤ 2θ ≤ 90°, most intense first:
two_theta	intensity
42.0	100.0
46.2	44.2
37.4	21.1
73.7	20.1
70.6	18.3
67.5	10.4
26.2	10.2
79.8	10.2
60.9	1.4
53.9	1.1

Atomic structure:
Unit cell a=4.809 b=4.809 c=4.809 alpha=90.00 beta=90.00 gamma=90.00
Fractional coordinates of all 8 atoms:
1 Al 0.000 0.000 0.000
2 Al 0.500 0.500 0.500
3 V 0.000 0.250 0.500
4 V 0.000 0.750 0.500
5 V 0.250 0.500 0.000
6 V 0.500 0.000 0.250
7 V 0.500 0.000 0.750
8 V 0.750 0.500 0.000



Entry 7:
# Li2CuP4O12
Computed powder XRD pattern, Cu Kα, 1.54184 Å. Input: a GGA-PBE-relaxed structure.
Kinematic intensities with the Lorentz-polarization factor, no thermal factor.

Top 10 peaks for 10° ≤ 2θ ≤ 90°, most intense first:
two_theta	intensity
11.6	100.0
25.7	92.5
17.0	88.2
25.9	86.8
31.8	58.9
23.7	45.0
27.0	40.0
31.9	27.1
16.1	22.3
36.8	20.5

Atomic structure:
Unit cell a=8.270 b=8.270 c=7.524 alpha=91.98 beta=91.98 gamma=112.82
Fractional coordinates of all 38 atoms:
1 Li 0.014 0.322 0.192
2 Li 0.322 0.014 0.692
3 Li 0.678 0.986 0.308
4 Li 0.986 0.678 0.808
5 Cu 0.369 0.631 0.250
6 Cu 0.631 0.369 0.750
7 P 0.063 0.727 0.387
8 P 0.273 0.937 0.113
9 P 0.275 0.427 0.816
10 P 0.427 0.275 0.316
11 P 0.573 0.725 0.684
12 P 0.725 0.573 0.184
13 P 0.727 0.063 0.887
14 P 0.937 0.273 0.613
15 O 0.112 0.801 0.574
16 O 0.117 0.883 0.250
17 O 0.125 0.586 0.319
18 O 0.145 0.344 0.642
19 O 0.175 0.435 0.975
20 O 0.199 0.888 0.926
21 O 0.329 0.396 0.327
22 O 0.344 0.145 0.142
23 O 0.378 0.622 0.750
24 O 0.396 0.329 0.827
25 O 0.414 0.875 0.181
26 O 0.435 0.175 0.475
27 O 0.565 0.825 0.525
28 O 0.586 0.125 0.819
29 O 0.604 0.671 0.173
30 O 0.622 0.378 0.250
31 O 0.656 0.855 0.858
32 O 0.671 0.604 0.673
33 O 0.801 0.112 0.074
34 O 0.825 0.565 0.025
35 O 0.855 0.656 0.358
36 O 0.875 0.414 0.681
37 O 0.883 0.117 0.750
38 O 0.888 0.199 0.426



Entry 8:
# TaSnP3O12
Computed powder XRD pattern, Cu Kα, 1.54184 Å. Input: a GGA-PBE-relaxed structure.
Kinematic intensities with the Lorentz-polarization factor, no thermal factor.

Top 10 peaks for 10° ≤ 2θ ≤ 90°, most intense first:
two_theta	intensity
19.6	100.0
20.3	81.0
28.4	56.2
31.3	47.4
14.1	44.1
35.1	33.3
23.5	32.7
35.5	28.0
51.5	22.9
55.6	19.8

Atomic structure:
Unit cell a=9.076 b=9.076 c=9.076 alpha=57.64 beta=57.64 gamma=57.64
Fractional coordinates of all 34 atoms:
1 Ta 0.000 0.000 0.000
2 Ta 0.500 0.500 0.500
3 Sn 0.212 0.212 0.212
4 Sn 0.712 0.712 0.712
5 P 0.104 0.822 0.396
6 P 0.322 0.604 0.896
7 P 0.396 0.104 0.822
8 P 0.604 0.896 0.322
9 P 0.822 0.396 0.104
10 P 0.896 0.322 0.604
11 O 0.071 0.288 0.439
12 O 0.085 0.852 0.221
13 O 0.129 0.987 0.372
14 O 0.147 0.782 0.923
15 O 0.221 0.085 0.852
16 O 0.282 0.647 0.423
17 O 0.288 0.439 0.071
18 O 0.352 0.585 0.721
19 O 0.372 0.129 0.987
20 O 0.423 0.282 0.647
21 O 0.439 0.071 0.288
22 O 0.487 0.629 0.872
23 O 0.571 0.939 0.788
24 O 0.585 0.721 0.352
25 O 0.629 0.872 0.487
26 O 0.647 0.423 0.282
27 O 0.721 0.352 0.585
28 O 0.782 0.923 0.147
29 O 0.788 0.571 0.939
30 O 0.852 0.221 0.085
31 O 0.872 0.487 0.629
32 O 0.923 0.147 0.782
33 O 0.939 0.788 0.571
34 O 0.987 0.372 0.129



Entry 9:
# NpCo2Si2
Computed powder XRD pattern, Cu Kα, 1.54184 Å. Input: a GGA-PBE-relaxed structure.
Kinematic intensities with the Lorentz-polarization factor, no thermal factor.

Top 10 peaks for 10° ≤ 2θ ≤ 90°, most intense first:
two_theta	intensity
38.1	100.0
25.0	80.8
36.4	64.0
47.4	35.3
61.2	29.0
53.0	23.0
81.9	21.4
54.3	21.2
37.2	18.6
73.9	17.6

Atomic structure:
Unit cell a=5.542 b=5.542 c=5.542 alpha=139.52 beta=139.52 gamma=58.58
Fractional coordinates of all 5 atoms:
1 Np 0.000 0.000 0.000
2 Co 0.250 0.750 0.500
3 Co 0.750 0.250 0.500
4 Si 0.378 0.378 0.000
5 Si 0.622 0.622 0.000